Record 1
# Ce2H3O
Theoretical powder diffractogram, Cu Kα (λ = 1.5418 Å). Input: a structure optimized by DFT (PBE).
No peak broadening, texture or thermal motion is included.

Peak list (8 most intense, 2θ = 10–90°, most intense first)
28.20 deg, intensity 100, hkl 1 1 1; 55.61 deg, intensity 45, hkl 3 1 1; 32.68 deg, intensity 43, hkl 2 0 0; 46.88 deg, intensity 42, hkl 2 2 0; 75.63 deg, intensity 18, hkl 3 3 1; 77.96 deg, intensity 15, hkl 4 2 0; 87.11 deg, intensity 14, hkl 4 2 2; 58.32 deg, intensity 11, hkl 2 2 2

Atomic structure:
```
data_Ce2H3O
_chemical_formula_sum 'Ce4 H6 O2'
_cell_length_a 5.4810
_cell_length_b 5.4810
_cell_length_c 5.4810
_cell_angle_alpha 90.00
_cell_angle_beta 90.00
_cell_angle_gamma 90.00
_space_group_name_H-M_alt 'P n -3 m'
_space_group_IT_number 224
loop_
_space_group_symop_operation_xyz
'x,y,z'
'-x,-y,-z'
'-y,x+1/2,z+1/2'
'y,-x+1/2,-z+1/2'
'-x+1/2,-y+1/2,z'
'x+1/2,y+1/2,-z'
'y+1/2,-x,z+1/2'
'-y+1/2,x,-z+1/2'
'x,-y+1/2,-z+1/2'
'-x,y+1/2,z+1/2'
'-y,-x,-z'
'y,x,z'
'-x+1/2,y,-z+1/2'
'x+1/2,-y,z+1/2'
'y+1/2,x+1/2,-z'
'-y+1/2,-x+1/2,z'
'z,x,y'
'-z,-x,-y'
'z+1/2,-y,x+1/2'
'-z+1/2,y,-x+1/2'
'z,-x+1/2,-y+1/2'
'-z,x+1/2,y+1/2'
'z+1/2,y+1/2,-x'
'-z+1/2,-y+1/2,x'
'-z+1/2,x,-y+1/2'
'z+1/2,-x,y+1/2'
'-z,-y,-x'
'z,y,x'
'-z+1/2,-x+1/2,y'
'z+1/2,x+1/2,-y'
'-z,y+1/2,x+1/2'
'z,-y+1/2,-x+1/2'
'y,z,x'
'-y,-z,-x'
'x+1/2,z+1/2,-y'
'-x+1/2,-z+1/2,y'
'-y+1/2,z,-x+1/2'
'y+1/2,-z,x+1/2'
'-x,z+1/2,y+1/2'
'x,-z+1/2,-y+1/2'
'-y+1/2,-z+1/2,x'
'y+1/2,z+1/2,-x'
'-x,-z,-y'
'x,z,y'
'y,-z+1/2,-x+1/2'
'-y,z+1/2,x+1/2'
'x+1/2,-z,y+1/2'
'-x+1/2,z,-y+1/2'
loop_
_atom_site_label
_atom_site_type_symbol
_atom_site_fract_x
_atom_site_fract_y
_atom_site_fract_z
Ce1 Ce 0.0000 0.0000 0.0000
H1 H 0.2500 0.2500 0.7500
O1 O 0.2500 0.2500 0.2500
```



Record 2
# CaLaI5
Theoretical powder diffractogram, Cu Kα (λ = 1.5418 Å). Input: a structure optimized by DFT (PBE).
No peak broadening, texture or thermal motion is included.

Peak list (8 most intense, 2θ = 10–90°, most intense first)
10.65 deg, intensity 100, hkl 1 0 -1; 27.64 deg, intensity 71, hkl 1 1 -3; 25.19 deg, intensity 68, hkl 1 1 2; 27.01 deg, intensity 67, hkl 2 0 3; 29.43 deg, intensity 46, hkl 0 0 5; 39.86 deg, intensity 44, hkl 0 2 0; 27.39 deg, intensity 41, hkl 2 1 0; 21.40 deg, intensity 40, hkl 2 0 -2

Atomic structure:
```
data_CaLaI5
_chemical_formula_sum 'Ca2 La2 I10'
_cell_length_a 9.4182
_cell_length_b 4.5228
_cell_length_c 15.2303
_cell_angle_alpha 90.00
_cell_angle_beta 94.91
_cell_angle_gamma 90.00
_space_group_name_H-M_alt 'P 1 21/m 1'
_space_group_IT_number 11
loop_
_space_group_symop_operation_xyz
'x,y,z'
'-x,-y,-z'
'-x,y+1/2,-z'
'x,-y+1/2,z'
loop_
_atom_site_label
_atom_site_type_symbol
_atom_site_fract_x
_atom_site_fract_y
_atom_site_fract_z
Ca1 Ca 0.0878 0.2500 0.1333
La1 La 0.4113 0.7500 0.3452
I1 I 0.0728 0.7500 0.3089
I2 I 0.1366 0.2500 0.9270
I3 I 0.3185 0.2500 0.4845
I4 I 0.3404 0.7500 0.1319
I5 I 0.3775 0.7500 0.7093
```



Record 3
# KRb2SnS4
Theoretical powder diffractogram, Cu Kα (λ = 1.5418 Å). Input: a structure optimized by DFT (PBE).
No peak broadening, texture or thermal motion is included.

Peak list (8 most intense, 2θ = 10–90°, most intense first)
31.58 deg, intensity 100, hkl 2 0 2; 21.92 deg, intensity 57, hkl 2 0 0; 31.20 deg, intensity 49, hkl 2 2 0; 15.64 deg, intensity 41, hkl 1 0 1; 38.78 deg, intensity 39, hkl 2 2 2; 55.76 deg, intensity 28, hkl 4 2 2; 27.04 deg, intensity 26, hkl 2 1 1; 50.58 deg, intensity 24, hkl 4 0 2

Atomic structure:
```
data_KRb2SnS4
_chemical_formula_sum 'K2 Rb4 Sn2 S8'
_cell_length_a 8.1084
_cell_length_b 8.1084
_cell_length_c 7.9206
_cell_angle_alpha 90.00
_cell_angle_beta 90.00
_cell_angle_gamma 90.00
_space_group_name_H-M_alt 'I -4 2 m'
_space_group_IT_number 121
_space_group_name_Hall 'I -4 2'
loop_
_atom_site_label
_atom_site_type_symbol
_atom_site_fract_x
_atom_site_fract_y
_atom_site_fract_z
K1 K 0.0000 0.0000 0.0000
Rb1 Rb 0.0000 0.5000 0.0000
Sn1 Sn 0.0000 0.0000 0.5000
S1 S 0.1705 0.1705 0.6827
```